For Nd6In2HN, a crystal structure in Alexandria, relaxed with GGA-PBE gives the simulated XRD peak list in this record (Cu Kα X-rays).

Cell and atoms:
Cell: 7.111 7.111 10.044 Å, 90.00 90.00 90.00°
Space group I4/mmm (No. 139)
One atom of each set of equivalent atoms:
1 Nd 0.000 0.000 0.244
2 Nd 0.244 0.244 0.000
3 In 0.000 0.500 0.250
4 H 0.000 0.000 0.500
5 N 0.000 0.000 0.000

Main lines, sorted by position (10 to 90 degrees two-theta):
Position (°2θ)	I (rel.)	index
30.81	100	2 0 2
35.73	53	2 2 0
51.42	37	4 0 0
61.16	42	2 0 6
64.19	12	4 0 4
83.92	17	4 2 6
86.59	11	6 2 0
86.68	5	2 2 8


For NaInH2, a crystal structure in Alexandria, relaxed with GGA-PBE gives the simulated XRD peak list in this record (Cu Kα X-rays).

Cell and atoms:
Cell: 6.204 6.204 6.204 Å, 90.00 90.00 90.00°
Space group Fm-3m (No. 225)
One atom of each set of equivalent atoms:
1 Na 0.000 0.000 0.000
2 In 0.000 0.000 0.500
3 H 0.250 0.250 0.250

Main lines, sorted by position (10 to 90 degrees two-theta):
Position (°2θ)	I (rel.)	index
24.86	86	1 1 1
28.78	100	2 0 0
41.16	81	2 2 0
48.68	41	3 1 1
51.00	27	2 2 2
65.59	17	3 3 1
67.52	33	4 2 0
75.00	25	4 2 2


For Na2InH4, a crystal structure in Alexandria, relaxed with GGA-PBE gives the simulated XRD peak list in this record (Cu Kα X-rays).

Cell and atoms:
Cell: 6.345 5.388 6.512 Å, 90.00 102.94 90.00°
Space group P2_1/m (No. 11)
One atom of each set of equivalent atoms:
1 Na 0.173 0.250 0.061
2 Na 0.220 0.250 0.556
3 In 0.284 0.750 0.857
4 H 0.039 0.513 0.755
5 H 0.436 0.750 0.646
6 H 0.456 0.250 0.908

Main lines, sorted by position (10 to 90 degrees two-theta):
Position (°2θ)	I (rel.)	index
13.95	84	0 0 1
17.64	95	1 0 -1
21.64	100	0 1 1
21.88	52	1 1 0
28.88	54	2 0 0
32.75	84	0 1 2
33.24	73	0 2 0
33.66	53	2 1 -1


For NaInH, a crystal structure in Alexandria, relaxed with GGA-PBE gives the simulated XRD peak list in this record (Cu Kα X-rays).

Cell and atoms:
Cell: 3.427 3.432 14.278 Å, 91.55 95.70 117.61°
Space group P1 (No. 1)
One atom of each set of equivalent atoms:
1 Na 0.000 0.000 0.000
2 Na 0.306 0.144 0.445
3 In 0.232 0.583 0.814
4 In 0.764 0.871 0.632
5 H 0.480 0.719 0.195
6 H 0.513 0.740 0.249

Main lines, sorted by position (10 to 90 degrees two-theta):
Position (°2θ)	I (rel.)	index
29.50	33	1 0 -1
30.71	80	1 0 -2
31.43	42	1 -1 1
31.59	59	0 0 5
33.15	100	0 1 2
33.59	42	1 -1 2
33.79	75	0 1 -3
37.41	63	1 0 3


For Na2InNiH6, a crystal structure in Alexandria, relaxed with GGA-PBE gives the simulated XRD peak list in this record (Cu Kα X-rays).

Cell and atoms:
Cell: 4.729 4.729 9.771 Å, 90.00 90.00 90.00°
Space group I4mm (No. 107)
One atom of each set of equivalent atoms:
1 Na 0.000 0.500 0.000
2 In 0.000 0.000 0.252
3 Ni 0.000 0.000 0.752
4 H 0.000 0.000 0.438
5 H 0.000 0.000 0.920
6 H 0.217 0.217 0.688

Main lines, sorted by position (10 to 90 degrees two-theta):
Position (°2θ)	I (rel.)	index
18.16	37	0 0 2
26.66	30	1 1 0
32.45	100	1 1 2
36.79	18	0 0 4
38.06	32	2 0 0
42.48	15	2 0 2
53.97	22	2 0 4
65.26	24	3 1 2


For NaInH12Se2O14, a crystal structure in Alexandria, relaxed with GGA-PBE gives the simulated XRD peak list in this record (Cu Kα X-rays).

Cell and atoms:
Cell: 7.310 7.318 12.656 Å, 94.06 93.98 106.52°
Space group P-1 (No. 2)
One atom of each set of equivalent atoms:
1 Na 0.082 0.418 0.250
2 In 0.500 0.000 0.000
3 In 0.500 0.000 0.500
4 H 0.088 0.329 0.491
5 H 0.113 0.765 0.001
6 H 0.172 0.412 0.009
7 H 0.185 0.250 0.078
8 H 0.218 0.019 0.831
9 H 0.223 0.795 0.121
10 H 0.251 0.316 0.422
11 H 0.265 0.614 0.501
12 H 0.269 0.164 0.619
13 H 0.294 0.723 0.621
14 H 0.338 0.232 0.880
15 H 0.482 0.282 0.668
16 Se 0.100 0.922 0.312
17 Se 0.422 0.600 0.812
18 O 0.014 0.060 0.236
19 O 0.062 0.193 0.610
20 O 0.101 0.329 0.060
21 O 0.171 0.400 0.440
22 O 0.176 0.760 0.242
23 O 0.243 0.795 0.042
24 O 0.260 0.677 0.743
25 O 0.291 0.072 0.391
26 O 0.294 0.744 0.543
27 O 0.308 0.438 0.890
28 O 0.340 0.093 0.874
29 O 0.407 0.161 0.626
30 O 0.428 0.209 0.109
31 O 0.439 0.485 0.265

Main lines, sorted by position (10 to 90 degrees two-theta):
Position (°2θ)	I (rel.)	index
12.68	70	1 0 0
16.69	47	1 -1 1
18.08	100	0 1 -2
20.72	63	1 -1 2
23.49	56	1 1 -2
25.83	69	0 2 -1
26.27	39	1 1 2
29.40	94	2 -1 2


For NbIn2HPd, a crystal structure in Alexandria, relaxed with GGA-PBE gives the simulated XRD peak list in this record (Cu Kα X-rays).

Cell and atoms:
Cell: 5.044 5.044 3.393 Å, 90.00 90.00 90.00°
Space group P4/mmm (No. 123)
One atom of each set of equivalent atoms:
1 Nb 0.000 0.000 0.000
2 In 0.000 0.500 0.500
3 H 0.500 0.500 0.500
4 Pd 0.500 0.500 0.000

Main lines, sorted by position (10 to 90 degrees two-theta):
Position (°2θ)	I (rel.)	index
35.60	55	2 0 0
36.55	100	1 1 1
51.23	19	2 2 0
64.56	36	3 1 1
66.41	17	2 0 2
77.68	11	2 2 2
86.24	8	4 2 0
86.80	8	3 3 1


Q: Number 4 is which compound?
A: NaInH